[1]
Diffraction record for Tm2Ga2Ni3Pd. The powder XRD pattern is simulated, not measured: it uses the GGA-PBE geometry in OQMD and Cu Kα (weighted mean of Kα1 and Kα2).

Crystal structure
```
data_Tm2Ga2Ni3Pd
_chemical_formula_sum 'Tm2 Ga2 Ni3 Pd1'
_symmetry_space_group_name_H-M 'P 3 m 1'
_symmetry_Int_Tables_number 156
_cell_length_a 4.1913
_cell_length_b 4.1913
_cell_length_c 8.6960
_cell_angle_alpha 90.00
_cell_angle_beta 90.00
_cell_angle_gamma 120.00
loop_
_symmetry_equiv_pos_as_xyz
'x,y,z'
'-y,x-y,z'
'-x+y,-x,z'
'-y,-x,z'
'-x+y,y,z'
'x,x-y,z'
loop_
_atom_site_label
_atom_site_type_symbol
_atom_site_fract_x
_atom_site_fract_y
_atom_site_fract_z
_atom_site_occupancy
Tm1 Tm 0.0000 0.0000 0.0000 1
Tm2 Tm 0.3333 0.6667 0.5127 1
Ga1 Ga 0.6667 0.3333 0.2758 1
Ga2 Ga 0.6667 0.3333 0.7555 1
Ni1 Ni 0.0000 0.0000 0.3360 1
Ni2 Ni 0.0000 0.0000 0.6865 1
Ni3 Ni 0.3333 0.6667 0.8252 1
Pd1 Pd 0.3333 0.6667 0.1750 1
```

Peak list (10 most intense, 10° ≤ 2θ ≤ 90°, most intense first)
2θ/deg	Rel. int.	hkl
39.80	100	1 0 3
43.17	81	1 1 0
32.12	33	0 1 2
60.15	29	0 2 3
26.61	29	0 1 1
76.88	28	2 1 3
24.52	19	1 0 0
79.16	13	3 0 0
61.46	13	1 1 4
69.88	12	0 1 6

***

[2]
Diffraction record for Nd2Tc2O5. The powder XRD pattern is simulated, not measured: it uses the GGA-PBE geometry in OQMD and Cu Kα (weighted mean of Kα1 and Kα2).

Crystal structure
```
data_Nd2Tc2O5
_chemical_formula_sum 'Nd2 Tc2 O5'
_symmetry_space_group_name_H-M 'P 4/m m m'
_symmetry_Int_Tables_number 123
_symmetry_space_group_name_Hall '-P 4 2'
_cell_length_a 4.021
_cell_length_b 4.021
_cell_length_c 6.845
_cell_angle_alpha 90.00
_cell_angle_beta 90.00
_cell_angle_gamma 90.00
loop_
_atom_site_label
_atom_site_type_symbol
_atom_site_fract_x
_atom_site_fract_y
_atom_site_fract_z
_atom_site_occupancy
Nd1 Nd 0.000 0.000 0.000 1
Nd2 Nd 0.000 0.000 0.500 1
Tc1 Tc 0.500 0.500 0.174 1
O1 O 0.000 0.500 0.232 1
O2 O 0.500 0.500 0.500 1
```

Peak list (10 most intense, 10° ≤ 2θ ≤ 90°, most intense first)
2θ/deg	Rel. int.	hkl
34.41	100	1 0 2
31.46	81	1 1 0
45.09	50	2 0 0
57.93	45	2 1 2
41.28	25	1 1 2
58.63	17	1 0 4
65.68	15	2 2 0
76.91	15	2 1 4
74.64	14	3 1 0
45.72	14	1 0 3

***

[3]
Diffraction record for Ho4Mg3Ni2. The powder XRD pattern is simulated, not measured: it uses the GGA-PBE geometry in OQMD and Cu Kα (weighted mean of Kα1 and Kα2).

Crystal structure
```
data_Ho4Mg3Ni2
_chemical_formula_sum 'Ho4 Mg3 Ni2'
_symmetry_space_group_name_H-M 'P 1 2/m 1'
_symmetry_Int_Tables_number 10
_cell_length_a 7.405
_cell_length_b 3.625
_cell_length_c 8.242
_cell_angle_alpha 90.00
_cell_angle_beta 108.04
_cell_angle_gamma 90.00
loop_
_symmetry_equiv_pos_as_xyz
'x,y,z'
'-x,-y,-z'
'-x,y,-z'
'x,-y,z'
loop_
_atom_site_label
_atom_site_type_symbol
_atom_site_fract_x
_atom_site_fract_y
_atom_site_fract_z
_atom_site_occupancy
Ho1 Ho 0.087 0.000 0.221 1
Ho2 Ho 0.393 0.000 0.673 1
Mg1 Mg 0.000 0.500 0.500 1
Mg2 Mg 0.294 0.500 0.001 1
Ni1 Ni 0.342 0.500 0.389 1
```

Peak list (10 most intense, 10° ≤ 2θ ≤ 90°, most intense first)
2θ/deg	Rel. int.	hkl
34.82	100	2 1 -1
33.68	85	0 1 2
39.86	60	2 1 1
14.07	59	1 0 -1
24.30	57	2 0 -1
24.56	53	0 1 0
22.69	49	0 0 2
11.29	46	0 0 1
30.90	42	2 0 1
41.29	41	1 1 -3

***

[4]
Diffraction record for BaGdMgAs2. The powder XRD pattern is simulated, not measured: it uses the GGA-PBE geometry in OQMD and Cu Kα (weighted mean of Kα1 and Kα2).

Crystal structure
```
data_BaGdMgAs2
_chemical_formula_sum 'Ba4 Gd4 Mg4 As8'
_symmetry_space_group_name_H-M 'C m c 21'
_symmetry_Int_Tables_number 36
_cell_length_a 4.432
_cell_length_b 18.047
_cell_length_c 6.999
_cell_angle_alpha 90.00
_cell_angle_beta 90.00
_cell_angle_gamma 90.00
loop_
_symmetry_equiv_pos_as_xyz
'x,y,z'
'-x,-y,z+1/2'
'-x,y,z'
'x,-y,z+1/2'
'x+1/2,y+1/2,z'
'-x+1/2,-y+1/2,z+1/2'
'-x+1/2,y+1/2,z'
'x+1/2,-y+1/2,z+1/2'
loop_
_atom_site_label
_atom_site_type_symbol
_atom_site_fract_x
_atom_site_fract_y
_atom_site_fract_z
_atom_site_occupancy
Ba1 Ba 0.000 0.198 0.000 1
Gd1 Gd 0.000 0.027 0.294 1
Mg1 Mg 0.000 0.401 0.126 1
As1 As 0.000 0.162 0.510 1
As2 As 0.000 0.449 0.501 1
```

Peak list (10 most intense, 10° ≤ 2θ ≤ 90°, most intense first)
2θ/deg	Rel. int.	hkl
35.94	100	1 3 2
31.98	47	1 5 0
28.07	44	1 3 1
27.33	37	0 2 2
32.39	36	0 6 1
20.63	32	1 1 0
40.71	31	2 0 0
32.99	24	1 1 2
51.71	19	1 9 1
52.96	18	2 6 1

***

[5]
Diffraction record for DyEr7. The powder XRD pattern is simulated, not measured: it uses the GGA-PBE geometry in OQMD and Cu Kα (weighted mean of Kα1 and Kα2).

Crystal structure
```
data_DyEr7
_chemical_formula_sum 'Dy1 Er7'
_symmetry_space_group_name_H-M 'P -6 m 2'
_symmetry_Int_Tables_number 187
_symmetry_space_group_name_Hall 'P -6 2'
_cell_length_a 7.1528
_cell_length_b 7.1528
_cell_length_c 5.5427
_cell_angle_alpha 90.00
_cell_angle_beta 90.00
_cell_angle_gamma 120.00
loop_
_atom_site_label
_atom_site_type_symbol
_atom_site_fract_x
_atom_site_fract_y
_atom_site_fract_z
_atom_site_occupancy
Dy1 Dy 0.0000 0.0000 0.0000 1
Er1 Er 0.0005 0.5003 0.0000 1
Er2 Er 0.1668 0.3336 0.5000 1
Er3 Er 0.6667 0.3333 0.5000 1
```

Peak list (10 most intense, 10° ≤ 2θ ≤ 90°, most intense first)
2θ/deg	Rel. int.	hkl
33.13	100	2 0 1
28.83	24	2 0 0
32.30	24	0 0 2
61.74	22	2 2 2
58.14	20	2 0 3
51.08	20	2 2 0
62.25	16	4 0 1
43.84	15	2 0 2
84.61	14	4 2 1
89.47	8	2 2 4

***

[6]
Diffraction record for Li2Mg2In2CoAu. The powder XRD pattern is simulated, not measured: it uses the GGA-PBE geometry in OQMD and Cu Kα (weighted mean of Kα1 and Kα2).

Crystal structure
```
data_Li2Mg2In2CoAu
_chemical_formula_sum 'Li2 Mg2 In2 Co1 Au1'
_symmetry_space_group_name_H-M 'P -4 m 2'
_symmetry_Int_Tables_number 115
_cell_length_a 4.537
_cell_length_b 4.537
_cell_length_c 6.586
_cell_angle_alpha 90.00
_cell_angle_beta 90.00
_cell_angle_gamma 90.00
loop_
_symmetry_equiv_pos_as_xyz
'x,y,z'
'y,-x,-z'
'-x,-y,z'
'-y,x,-z'
'-x,y,z'
'-y,-x,-z'
'x,-y,z'
'y,x,-z'
loop_
_atom_site_label
_atom_site_type_symbol
_atom_site_fract_x
_atom_site_fract_y
_atom_site_fract_z
_atom_site_occupancy
Li1 Li 0.000 0.000 0.000 1
Li2 Li 0.500 0.500 0.500 1
Mg1 Mg 0.000 0.500 0.239 1
In1 In 0.000 0.500 0.777 1
Co1 Co 0.500 0.500 0.000 1
Au1 Au 0.000 0.000 0.500 1
```

Peak list (10 most intense, 10° ≤ 2θ ≤ 90°, most intense first)
2θ/deg	Rel. int.	hkl
23.81	100	1 0 1
39.20	85	1 1 2
39.73	43	2 0 0
46.85	33	2 1 1
71.76	28	3 1 2
31.01	17	1 1 1
45.93	16	1 0 3
19.57	15	1 0 0
57.45	14	2 2 0
62.31	13	2 1 3